(1)
Diffraction record for Ca3Cu3Si. The powder diffractogram is simulated, not measured: it uses DFT lattice parameters and positions (PBE) and Cu Kα.
Kinematic intensities with the Lorentz-polarization factor, no thermal factor.

Atomic structure:
abc: 10.747 4.218 14.433
angles: 90.00 109.83 90.00
Space group C2/m (No. 12)
Unique sites:
Ca 0.028 0.000 0.388
Ca 0.106 0.000 0.921
Ca 0.249 0.500 0.767
Cu 0.053 0.500 0.238
Cu 0.095 0.500 0.078
Cu 0.174 0.500 0.539
Si 0.243 0.500 0.389

Top 12 peaks for 10 to 90 degrees two-theta, sorted by position:
two_theta, intensity, (hkl)
16.51, 65, 2 0 -1
22.86, 37, 1 1 0
32.23, 28, 1 1 3
32.66, 98, 1 1 -4
32.89, 95, 3 1 -1
38.37, 27, 4 0 1
39.62, 49, 4 0 -5
39.86, 100, 3 1 2
40.93, 34, 3 1 -5
42.88, 58, 0 2 0
59.80, 27, 4 2 -5
64.61, 22, 7 1 -3


(2)
Diffraction record for Ca3Cu6Si2. The powder diffractogram is simulated, not measured: it uses DFT lattice parameters and positions (PBE) and Cu Kα.
Kinematic intensities with the Lorentz-polarization factor, no thermal factor.

Atomic structure:
abc: 9.075 9.075 9.075
angles: 90.00 90.00 90.00
Space group Im-3m (No. 229)
Unique sites:
Ca 0.000 0.000 0.280
Cu 0.000 0.329 0.329
Si 0.250 0.250 0.250

Top 12 peaks for 10 to 90 degrees two-theta, sorted by position:
two_theta, intensity, (hkl)
13.80, 32, 1 1 0
24.02, 8, 2 1 1
27.80, 9, 2 2 0
31.17, 7, 3 1 0
37.06, 37, 3 2 1
39.73, 9, 4 0 0
42.25, 100, 3 3 0
44.65, 10, 4 2 0
61.29, 10, 6 0 0
63.15, 15, 5 3 2
68.59, 11, 6 2 2
77.25, 22, 6 3 3